Theoretical powder diffractogram
Compound: CsRbIrF6
Radiation: a wavelength of 1.5418 Å
Structure: a cell relaxed with PBE
Peak positions follow from Bragg's law for the DFT cell and can differ from measured ones.

Largest 10 diffraction maxima, most intense first, 10 to 90 degrees two-theta:
- 22.29 deg, rel. 100, hkl 1 0 1
- 26.94 deg, rel. 49, hkl 1 1 0
- 42.51 deg, rel. 41, hkl 2 -1 2
- 44.91 deg, rel. 29, hkl 3 -1 1
- 35.24 deg, rel. 27, hkl 2 0 1
- 15.46 deg, rel. 23, hkl 1 0 0
- 47.59 deg, rel. 15, hkl 3 0 0
- 15.97 deg, rel. 14, hkl 0 0 1
- 74.09 deg, rel. 13, hkl 1 1 4
- 60.58 deg, rel. 13, hkl 4 -1 1

Crystal structure
```
CsRbIrF6
1.0
6.6191 0.0000 0.0000
-3.3096 5.7323 0.0000
0.0000 0.0000 5.5510
Cs Rb Ir F
1 1 1 6
Direct
0.0000 0.0000 0.0000 Cs
0.3333 0.6667 0.5000 Rb
0.6667 0.3333 0.5000 Ir
0.4201 0.0879 0.7017 F
0.4201 0.3322 0.2983 F
0.6678 0.0879 0.2983 F
0.6678 0.5799 0.7017 F
0.9121 0.3322 0.7017 F
0.9121 0.5799 0.2983 F
```